No. 1
The following is a computed powder XRD pattern of PmNdSe2S. It was derived from a cell relaxed with GGA-PBE, using CuKα.

Top 12 peaks for 5 to 70 degrees two-theta, in order of rising 2θ:
Position (°2θ)  Rel. int.
22.2  59
23.7  35
25.2  57
32.7  100
39.0  89
42.6  49
46.1  36
47.0  11
51.8  27
54.0  13
59.1  19
66.6  41

```
PmNdSe2S
1.0
4.6221 0.0000 0.0000
-2.3110 4.0028 0.0000
0.0000 0.0000 7.5017
Pm Nd Se S
1 1 2 1
Cartesian
0.0000 0.0000 0.0000 Pm
0.0000 2.6686 3.3641 Nd
0.0000 0.0000 4.4007 Se
0.0000 2.6686 6.5134 Se
2.3110 1.3343 1.6829 S
```

No. 2
The following is a computed powder XRD pattern of HfSc3P4. It was derived from a cell relaxed with GGA-PBE, using CuKα.

Top 12 peaks for 5 to 70 degrees two-theta, in order of rising 2θ:
Position (°2θ)  Rel. int.
14.5  45
16.8  16
23.8  15
28.0  29
29.3  36
33.9  100
37.1  14
44.6  12
48.8  68
51.2  12
57.9  16
60.7  23

```
HfSc3P4
1.0
3.7378 -5.2802 0.0000
3.7378 5.2802 0.0000
0.0000 0.0000 3.7334
Hf Sc P
1 3 4
Cartesian
0.0000 0.0000 0.0000 Hf
1.8689 2.6401 1.8667 Sc
1.8689 -2.6401 1.8667 Sc
3.7378 0.0000 0.0000 Sc
1.8556 0.0000 1.8667 P
3.7378 2.6514 0.0000 P
3.7378 -2.6514 0.0000 P
5.6200 0.0000 1.8667 P
```

No. 3
The following is a computed powder XRD pattern of LaPrSi4Os2. It was derived from a cell relaxed with GGA-PBE, using CuKα.

Top 12 peaks for 5 to 70 degrees two-theta, in order of rising 2θ:
Position (°2θ)  Rel. int.
10.9  84
29.4  53
29.9  100
30.7  79
33.0  80
35.0  55
39.7  61
40.0  30
43.3  40
50.1  18
55.5  21
56.9  27

```
LaPrSi4Os2
1.0
4.5206 0.0000 0.0000
0.0000 4.1769 0.0000
-1.7765 0.0000 8.1207
La Pr Si Os
1 1 4 2
Cartesian
0.0000 0.0000 0.0000 La
2.6359 2.0884 4.8433 Pr
-0.1762 2.0884 2.3953 Si
0.4159 0.0000 5.7274 Si
0.4411 2.0884 7.2338 Si
2.8052 0.0000 2.4675 Si
0.5746 0.0000 3.3438 Os
2.0556 2.0884 1.5149 Os
```

No. 4
The following is a computed powder XRD pattern of GaFeAs. It was derived from a cell relaxed with GGA-PBE, using CuKα.

Top 6 peaks for 5 to 70 degrees two-theta, in order of rising 2θ:
Position (°2θ)  Rel. int.
27.0  22
31.3  26
44.8  100
53.1  9
55.7  7
65.3  16

```
GaFeAs
1.0
0.0000 2.8598 2.8598
2.8598 0.0000 2.8598
2.8598 2.8598 0.0000
Ga Fe As
1 1 1
Cartesian
0.0000 0.0000 0.0000 Ga
4.2897 4.2897 4.2897 Fe
2.8598 2.8598 2.8598 As
```

No. 5
The following is a computed powder XRD pattern of PrSmP2Os2O2. It was derived from a cell relaxed with GGA-PBE, using CuKα.

Top 12 peaks for 5 to 70 degrees two-theta, in order of rising 2θ:
Position (°2θ)  Rel. int.
10.8  54
21.7  33
24.6  29
31.1  61
32.7  32
33.2  100
38.4  68
44.9  53
55.1  52
55.6  23
56.6  29
65.3  17

```
PrSmP2Os2O2
1.0
4.0411 0.0000 0.0000
0.0000 4.0411 0.0000
0.0000 0.0000 8.2075
Pr Sm P Os O
1 1 2 2 2
Cartesian
0.0000 0.0000 0.0000 Pr
2.0205 2.0205 2.3328 Sm
0.0000 0.0000 4.0554 P
2.0205 2.0205 6.4738 P
0.0000 2.0205 5.2583 Os
2.0205 0.0000 5.2583 Os
0.0000 2.0205 1.2146 O
2.0205 0.0000 1.2146 O
```

No. 6
The following is a computed powder XRD pattern of Na4SiGePd2. It was derived from a cell relaxed with GGA-PBE, using CuKα.

Top 12 peaks for 5 to 70 degrees two-theta, in order of rising 2θ:
Position (°2θ)  Rel. int.
19.0  2
23.3  45
27.0  9
30.2  3
33.2  2
38.5  100
45.5  22
47.6  3
55.6  16
61.1  9
62.8  3
69.6  32

```
Na4SiGePd2
1.0
4.6759 0.0000 0.0000
0.0000 4.6759 0.0000
0.0000 0.0000 6.6219
Na Si Ge Pd
4 1 1 2
Cartesian
0.0000 0.0000 0.0000 Na
0.0000 2.3379 1.6477 Na
2.3379 0.0000 4.9742 Na
2.3379 2.3379 3.3109 Na
2.3379 2.3379 0.0000 Si
0.0000 0.0000 3.3109 Ge
0.0000 2.3379 5.0451 Pd
2.3379 0.0000 1.5768 Pd
```

No. 7
The following is a computed powder XRD pattern of Ag7Sn. It was derived from a cell relaxed with GGA-PBE, using CuKα.

Top 12 peaks for 5 to 70 degrees two-theta, in order of rising 2θ:
Position (°2θ)  Rel. int.
5.9  13
35.5  10
36.6  10
37.8  100
39.0  12
40.2  3
43.7  41
44.4  14
60.8  3
63.5  13
64.0  18
65.7  3

```
Ag7Sn
1.0
2.9309 0.0000 0.0000
0.0000 2.9309 0.0000
0.0000 0.0000 44.8786
Ag Sn
14 2
Cartesian
0.7327 0.7327 1.0002 Ag
0.7327 0.7327 5.0209 Ag
0.7327 0.7327 9.0805 Ag
0.7327 0.7327 13.2116 Ag
0.7327 0.7327 33.7477 Ag
0.7327 0.7327 37.8331 Ag
0.7327 0.7327 41.8733 Ag
2.1981 2.1981 3.0053 Ag
2.1981 2.1981 7.0454 Ag
2.1981 2.1981 11.1308 Ag
2.1981 2.1981 31.6670 Ag
2.1981 2.1981 35.7980 Ag
2.1981 2.1981 39.8576 Ag
2.1981 2.1981 43.8784 Ag
0.7327 0.7327 29.3280 Sn
2.1981 2.1981 15.5506 Sn
```

No. 8
The following is a computed powder XRD pattern of Ba2TlPt2Pb3. It was derived from a cell relaxed with GGA-PBE, using CuKα.

Top 12 peaks for 5 to 70 degrees two-theta, in order of rising 2θ:
Position (°2θ)  Rel. int.
14.7  55
29.4  52
29.8  100
31.3  72
31.4  23
31.6  23
36.5  33
36.7  51
38.6  76
38.9  56
50.9  24
56.9  31

```
Ba2TlPt2Pb3
1.0
6.0433 -2.3147 0.0000
6.0433 2.3147 0.0000
-0.0531 0.0000 8.3166
Ba Tl Pt Pb
2 1 2 3
Cartesian
0.0000 0.0000 0.0000 Ba
1.4225 0.0000 4.0925 Ba
4.9435 0.0000 2.4802 Tl
3.3108 0.0000 8.2730 Pt
10.1293 0.0000 4.1598 Pt
4.8774 0.0000 5.7711 Pb
8.5846 0.0000 6.6498 Pb
8.6583 0.0000 1.6179 Pb
```

No. 9
The following is a computed powder XRD pattern of Tb2GdCu2B2N3. It was derived from a cell relaxed with GGA-PBE, using CuKα.

Top 12 peaks for 5 to 70 degrees two-theta, in order of rising 2θ:
Position (°2θ)  Rel. int.
28.6  100
33.6  94
35.0  58
36.2  41
37.3  49
40.4  39
51.2  24
52.1  41
58.3  21
60.5  26
63.4  32
64.3  38

```
Tb2GdCu2B2N3
1.0
-1.7556 1.7556 10.2612
1.7556 -1.7556 10.2612
1.7556 1.7556 -10.2612
Tb Gd Cu B N
2 1 2 2 3
Cartesian
0.0000 0.0000 2.4926 Tb
0.0000 0.0000 18.0297 Tb
0.0000 0.0000 10.2612 Gd
1.7556 0.0000 5.1306 Cu
0.0000 1.7556 5.1306 Cu
0.0000 0.0000 6.4657 B
0.0000 0.0000 14.0567 B
0.0000 0.0000 0.0000 N
0.0000 0.0000 7.9027 N
0.0000 0.0000 12.6196 N
```

No. 10
The following is a computed powder XRD pattern of GdSiHO4. It was derived from a cell relaxed with GGA-PBE, using CuKα.

Top 12 peaks for 5 to 70 degrees two-theta, in order of rising 2θ:
Position (°2θ)  Rel. int.
11.5  100
17.6  25
21.0  82
26.7  20
29.1  91
30.7  25
31.4  66
37.5  42
46.1  28
47.1  41
50.7  26
55.0  15

```
GdSiHO4
1.0
7.7019 4.4467 2.5761
-7.7019 4.4467 2.5761
0.0000 -8.8934 2.5761
Gd Si H O
6 6 6 24
Cartesian
-3.6116 -0.2428 2.6487 Gd
2.0161 -3.0064 2.6487 Gd
-1.5955 -3.2492 5.0797 Gd
1.5955 3.2491 2.6487 Gd
-2.0161 3.0064 5.0797 Gd
3.6116 0.2428 5.0797 Gd
-0.6926 -5.3905 3.0593 Si
-5.0146 -2.0954 4.6691 Si
-4.3220 3.2951 3.0593 Si
4.3220 -3.2951 4.6691 Si
5.0146 2.0954 3.0593 Si
0.6926 5.3905 4.6691 Si
-0.7799 -1.9226 1.4753 H
-1.2751 1.6367 1.4753 H
2.0550 0.2860 1.4753 H
-2.0550 -0.2860 6.2531 H
1.2751 -1.6367 6.2531 H
0.7798 1.9227 6.2531 H
-4.9445 -5.4874 4.1601 O
-1.7233 -1.6118 1.6759 O
-7.2244 1.5384 3.5682 O
-2.1122 -4.6427 3.3005 O
-3.5184 -2.4428 4.0270 O
-5.0768 -0.4921 4.4279 O
-0.5342 2.2983 1.6759 O
-3.8747 1.8256 3.7013 O
2.2575 -0.6865 1.6759 O
0.3563 -4.2684 3.7013 O
2.2799 -7.0257 3.5682 O
-2.9646 4.1506 3.3005 O
2.9646 -4.1506 4.4279 O
-2.2799 7.0257 4.1601 O
-0.3563 4.2684 4.0270 O
-2.2575 0.6865 6.0525 O
3.8748 -1.8256 4.0270 O
0.5342 -2.2983 6.0525 O
5.0768 0.4922 3.3005 O
3.5184 2.4428 3.7013 O
2.1122 4.6427 4.4279 O
7.2244 -1.5384 4.1601 O
1.7233 1.6118 6.0525 O
4.9445 5.4874 3.5682 O
```

No. 11
The following is a computed powder XRD pattern of Sr2NbIrN4O2. It was derived from a cell relaxed with GGA-PBE, using CuKα.

Top 12 peaks for 5 to 70 degrees two-theta, in order of rising 2θ:
Position (°2θ)  Rel. int.
22.1  16
31.3  34
31.6  64
31.7  100
44.9  18
45.1  19
45.7  18
55.9  13
56.0  14
56.3  12
56.5  13
56.6  12

```
Sr2NbIrN4O2
1.0
5.6445 0.0000 0.0000
0.0722 5.6490 0.0000
0.0329 0.0482 8.0694
Sr Nb Ir N O
4 2 2 8 4
Cartesian
0.0000 0.0000 0.0000 Sr
0.1231 5.6569 4.0400 Sr
2.9817 2.7411 0.0024 Sr
3.0714 2.7631 4.0332 Sr
0.1969 2.8485 6.0361 Nb
2.9392 5.5905 2.0395 Nb
0.2126 2.8692 1.8583 Ir
2.9288 5.5628 6.2156 Ir
0.1658 2.7122 8.0613 N
1.4815 4.2582 1.8853 N
1.5426 4.2913 6.1879 N
1.5459 1.5080 2.1168 N
1.6798 1.4054 5.9551 N
2.9101 0.0665 0.0134 N
4.2944 4.2050 6.1452 N
4.3613 4.0762 1.9327 N
0.1352 2.9693 4.0097 O
2.9989 5.4526 4.0642 O
4.4534 1.2883 5.9327 O
4.4536 1.2985 2.1428 O
```

No. 12
The following is a computed powder XRD pattern of PmPtO3. It was derived from a cell relaxed with GGA-PBE, using CuKα.

Top 12 peaks for 5 to 70 degrees two-theta, in order of rising 2θ:
Position (°2θ)  Rel. int.
21.7  6
24.8  9
29.3  18
32.3  100
44.2  13
47.6  7
48.5  9
49.2  6
53.9  8
57.7  17
59.5  8
67.7  7

```
PmPtO3
1.0
6.1020 0.0000 0.0000
0.0000 7.5128 0.0000
0.0000 0.0000 5.5295
Pm Pt O
4 4 12
Cartesian
0.5260 1.8782 0.1755 Pm
2.5251 5.6346 2.9402 Pm
3.5770 1.8782 2.5893 Pm
5.5761 5.6346 5.3540 Pm
0.0000 0.0000 2.7648 Pt
0.0000 3.7564 2.7648 Pt
3.0510 0.0000 0.0000 Pt
3.0510 3.7564 0.0000 Pt
0.3275 5.6346 2.0049 O
1.1526 4.1584 4.5415 O
1.1526 7.1108 4.5415 O
1.8984 0.4020 1.7767 O
1.8984 3.3544 1.7767 O
2.7235 1.8782 4.7696 O
3.3786 5.6346 0.7599 O
4.2036 4.1584 3.7528 O
4.2036 7.1108 3.7528 O
4.9494 0.4020 0.9880 O
4.9494 3.3544 0.9880 O
5.7745 1.8782 3.5246 O
```